No. 1
Simulated powder XRD pattern of Sm5Ho4In4 for Cu Kα, 1.54184 Å, from DFT lattice parameters and positions (GGA-PBE).
Neutral-atom scattering factors, no anomalous dispersion.

Structural model:
```
data_Sm5Ho4In4
_space_group_name_H-M_alt 'I 4/m'
_space_group_IT_number 87
_space_group_name_Hall '-I 4'
_cell_length_a 12.3781
_cell_length_b 12.3781
_cell_length_c 5.0969
_cell_angle_alpha 90.00
_cell_angle_beta 90.00
_cell_angle_gamma 90.00
loop_
_atom_site_label
_atom_site_fract_x
_atom_site_fract_y
_atom_site_fract_z
Sm1 0.0000 0.0000 0.0000
Sm2 0.0986 0.1900 0.5000
Ho1 0.0956 0.3939 0.0000
In1 0.1043 0.7632 0.0000
```

Top 8 peaks for 2θ = 10–80°, low angle first:
- 31.42 deg, 2.847 Å, I 100, hkl 3 2 1
- 34.68 deg, 2.587 Å, I 10, hkl 4 1 1
- 35.22 deg, 2.548 Å, I 23, hkl 0 0 2
- 37.03 deg, 2.428 Å, I 18, hkl 1 5 0
- 52.03 deg, 1.758 Å, I 14, hkl 1 5 2
- 57.11 deg, 1.613 Å, I 10, hkl 2 7 1
- 60.83 deg, 1.523 Å, I 15, hkl 3 2 3
- 67.17 deg, 1.394 Å, I 8, hkl 8 3 1

No. 2
Simulated powder XRD pattern of Sm3Ho8In for Cu Kα, 1.54184 Å, from DFT lattice parameters and positions (GGA-PBE).
Neutral-atom scattering factors, no anomalous dispersion.

Structural model:
```
data_Sm3Ho8In
_space_group_name_H-M_alt 'I -4 2 m'
_space_group_IT_number 121
_space_group_name_Hall 'I -4 2'
_cell_length_a 8.6271
_cell_length_b 8.6271
_cell_length_c 11.2279
_cell_angle_alpha 90.00
_cell_angle_beta 90.00
_cell_angle_gamma 90.00
loop_
_atom_site_label
_atom_site_fract_x
_atom_site_fract_y
_atom_site_fract_z
Sm1 0.0000 0.0000 0.0000
Sm2 0.0000 0.5000 0.2500
Ho1 0.1262 0.1262 0.7531
Ho2 0.2485 0.2485 0.0134
In1 0.0000 0.0000 0.5000
```

Top 8 peaks for 2θ = 10–80°, low angle first:
- 24.40 deg, 3.649 Å, I 75, hkl 2 1 1
- 26.05 deg, 3.420 Å, I 66, hkl 2 0 2
- 29.28 deg, 3.050 Å, I 82, hkl 2 2 0
- 31.88 deg, 2.807 Å, I 74, hkl 0 0 4
- 33.39 deg, 2.683 Å, I 63, hkl 2 2 2
- 36.62 deg, 2.454 Å, I 100, hkl 3 1 2
- 43.83 deg, 2.065 Å, I 52, hkl 2 2 4
- 45.02 deg, 2.014 Å, I 68, hkl 4 0 2